(1)
Starting from a DFT-relaxed cell (PBE+U, the Materials Project), the PXRD pattern of Ta2MnP6O21 was simulated for Cu Kα X-rays.
Neutral-atom scattering factors, no anomalous dispersion.

Main lines, sorted by position (2θ from 10° to 80°):
| hkl | Position (°2θ) | Rel. int. |
| --- | --- | --- |
| 0 1 1 | 12.34 | 24 |
| 1 1 -1 | 17.25 | 100 |
| 1 0 2 | 21.50 | 74 |
| 1 0 -4 | 21.74 | 84 |
| 0 2 0 | 22.03 | 56 |
| 1 2 -1 | 25.81 | 24 |
| 1 2 2 | 30.97 | 30 |
| 1 2 -4 | 31.14 | 26 |
| 2 1 1 | 33.62 | 31 |
| 2 1 -5 | 33.94 | 27 |

```
Ta2MnP6O21
1.0
6.6670 0.0000 0.0000
0.0000 8.0698 0.0000
-6.4918 0.0000 15.6618
Ta Mn P O
4 2 12 42
direct
0.2031 0.0218 0.1669 Ta
0.2031 0.4782 0.6669 Ta
0.7969 0.5218 0.3331 Ta
0.7969 0.9782 0.8331 Ta
0.5000 0.0000 0.5000 Mn
0.5000 0.5000 0.0000 Mn
0.0461 0.6094 0.8316 P
0.0461 0.8906 0.3316 P
0.2923 0.1112 0.9824 P
0.2923 0.3888 0.4824 P
0.3185 0.6039 0.1631 P
0.3185 0.8961 0.6631 P
0.6815 0.1039 0.3369 P
0.6815 0.3961 0.8369 P
0.7077 0.6112 0.5176 P
0.7077 0.8888 0.0176 P
0.9539 0.1094 0.6684 P
0.9539 0.3906 0.1684 P
0.0966 0.5539 0.1735 O
0.0966 0.9461 0.6735 O
0.0984 0.0172 0.9158 O
0.0984 0.4828 0.4158 O
0.1155 0.2426 0.1943 O
0.1155 0.2574 0.6943 O
0.1263 0.5763 0.7584 O
0.1263 0.9237 0.2584 O
0.2231 0.6351 0.9162 O
0.2231 0.8649 0.4162 O
0.2648 0.1072 0.0696 O
0.2648 0.3928 0.5696 O
0.2922 0.7059 0.6480 O
0.2922 0.7941 0.1480 O
0.3226 0.2231 0.4513 O
0.3226 0.2769 0.9513 O
0.3534 0.5068 0.0955 O
0.3534 0.9932 0.5955 O
0.4982 0.5755 0.2539 O
0.4982 0.9245 0.7539 O
0.5000 0.0000 0.0000 O
0.5000 0.5000 0.5000 O
0.5018 0.0755 0.2461 O
0.5018 0.4245 0.7461 O
0.6466 0.0068 0.4045 O
0.6466 0.4932 0.9045 O
0.6774 0.7231 0.0487 O
0.6774 0.7769 0.5487 O
0.7078 0.2059 0.8520 O
0.7078 0.2941 0.3520 O
0.7352 0.6072 0.4304 O
0.7352 0.8928 0.9304 O
0.7769 0.1351 0.5838 O
0.7769 0.3649 0.0838 O
0.8737 0.0763 0.7416 O
0.8737 0.4237 0.2416 O
0.8845 0.7426 0.3057 O
0.8845 0.7574 0.8057 O
0.9016 0.5172 0.5842 O
0.9016 0.9828 0.0842 O
0.9034 0.0539 0.3265 O
0.9034 0.4461 0.8265 O
```

=====

(2)
Starting from a DFT-relaxed cell (PBE+U, the Materials Project), the PXRD pattern of Ta6Zn3Fe4O24 was simulated for Cu Kα X-rays.
Neutral-atom scattering factors, no anomalous dispersion.

Main lines, sorted by position (2θ from 10° to 80°):
| hkl | Position (°2θ) | Rel. int. |
| --- | --- | --- |
| 1 0 1 | 18.80 | 33 |
| 1 0 -2 | 19.56 | 31 |
| 1 1 -2 | 21.43 | 47 |
| 1 -2 0 | 23.41 | 53 |
| 2 0 -1 | 25.93 | 70 |
| 2 -1 0 | 26.30 | 37 |
| 0 1 -3 | 26.71 | 100 |
| 1 -2 2 | 27.52 | 47 |
| 0 2 1 | 28.38 | 91 |
| 0 3 -2 | 33.90 | 37 |

```
Ta6Zn3Fe4O24
1.0
7.0342 0.0000 0.0000
-1.7443 8.0849 0.0000
-2.3770 -3.5380 9.3888
Ta Zn Fe O
6 3 4 24
direct
0.0923 0.2678 0.1219 Ta
0.2785 0.3314 0.7289 Ta
0.3955 0.9097 0.6679 Ta
0.6045 0.0903 0.3321 Ta
0.7215 0.6686 0.2711 Ta
0.9077 0.7322 0.8781 Ta
0.2148 0.7165 0.2017 Zn
0.5000 0.5000 0.5000 Zn
0.7852 0.2835 0.7983 Zn
0.1202 0.0480 0.3913 Fe
0.4582 0.7957 0.9881 Fe
0.5418 0.2043 0.0119 Fe
0.8798 0.9520 0.6087 Fe
0.0181 0.2204 0.7297 O
0.0642 0.1350 0.2386 O
0.1602 0.7568 0.0122 O
0.1618 0.9691 0.5759 O
0.2238 0.5009 0.2411 O
0.2692 0.2059 0.0237 O
0.2815 0.2970 0.5395 O
0.3341 0.5649 0.8336 O
0.3617 0.9723 0.3543 O
0.3798 0.6797 0.5811 O
0.4282 0.9382 0.8611 O
0.4795 0.2456 0.8222 O
0.5205 0.7544 0.1778 O
0.5718 0.0618 0.1389 O
0.6202 0.3203 0.4189 O
0.6383 0.0277 0.6457 O
0.6659 0.4351 0.1664 O
0.7185 0.7030 0.4605 O
0.7308 0.7941 0.9763 O
0.7762 0.4991 0.7589 O
0.8382 0.0309 0.4241 O
0.8398 0.2432 0.9878 O
0.9358 0.8650 0.7614 O
0.9819 0.7796 0.2703 O
```

=====

(3)
Starting from a DFT-relaxed cell (PBE+U, the Materials Project), the PXRD pattern of Co3BPO7 was simulated for Cu Kα X-rays.
Neutral-atom scattering factors, no anomalous dispersion.

Main lines, sorted by position (2θ from 10° to 80°):
| hkl | Position (°2θ) | Rel. int. |
| --- | --- | --- |
| 0 1 -1 | 13.76 | 15 |
| -1 1 1 | 20.75 | 95 |
| 0 1 1 | 20.80 | 38 |
| 0 1 -3 | 34.86 | 100 |
| 0 3 -1 | 34.95 | 48 |
| -2 1 1 | 36.31 | 55 |
| -1 2 2 | 36.49 | 35 |
| 2 -2 2 | 51.24 | 20 |
| 0 0 4 | 51.35 | 19 |
| 2 -1 3 | 64.36 | 16 |

```
Co3BPO7
1.0
4.9487 0.0000 0.0000
-2.4314 7.7186 0.0000
-2.4713 -3.0009 7.1210
Co B P O
6 2 2 14
direct
0.0000 0.0000 0.0000 Co
0.9999 0.2777 0.7209 Co
0.0530 0.5430 0.4836 Co
0.0571 0.7628 0.2630 Co
0.3689 0.7178 0.9360 Co
0.3704 0.2154 0.4403 Co
0.7022 0.0135 0.3028 B
0.7020 0.5816 0.7359 B
0.3507 0.0041 0.7257 P
0.3620 0.4615 0.1824 P
0.1405 0.8232 0.5456 O
0.1498 0.0847 0.8054 O
0.2068 0.4658 0.9863 O
0.2085 0.2655 0.1875 O
0.3170 0.6071 0.3278 O
0.3977 0.5482 0.7133 O
0.3983 0.9915 0.2707 O
0.5569 0.1540 0.6780 O
0.5576 0.9568 0.8764 O
0.7145 0.5132 0.2342 O
0.7506 0.8791 0.1818 O
0.7519 0.4607 0.6025 O
0.9527 0.1700 0.4477 O
0.9532 0.7280 0.8911 O
```